[1]
Diffraction record for CsSrSiHRh. The PXRD pattern is calculated, not measured: it uses DFT lattice parameters and positions (GGA-PBE) and Cu Ka.

Crystal structure
a b c (Å): 3.9537 5.1130 7.7509
angles (deg): 108.99 90.16 90.02
Space group P1 (No. 1)
Inequivalent atoms, fractional coordinates:
Cs 0.0000 0.0000 0.0000
Sr 0.4968 0.7381 0.4662
Si 0.4979 0.3626 0.7263
H 0.9960 0.4037 0.3832
Rh 0.9969 0.2866 0.5653

Peak list (6 most intense, 2θ = 10–90°, low angle first)
- 2θ = 24.3°, d 3.664, intensity 56
- 2θ = 25.2°, d 3.541, intensity 46
- 2θ = 25.3°, d 3.524, intensity 45
- 2θ = 29.2°, d 3.059, intensity 100
- 2θ = 34.0°, d 2.636, intensity 57
- 2θ = 35.1°, d 2.556, intensity 40

---

[2]
Diffraction record for Er10In3Bi3. The PXRD pattern is calculated, not measured: it uses DFT lattice parameters and positions (GGA-PBE) and Cu Ka.

Crystal structure
a b c (Å): 8.9795 8.9795 6.5305
angles (deg): 90.00 90.00 120.00
Space group P-62m (No. 189)
Inequivalent atoms, fractional coordinates:
Er 0.0000 0.2355 0.0000
Er 0.0000 0.7655 0.5000
Er 0.3333 0.6667 0.2426
In 0.0000 0.6058 0.0000
Bi 0.0000 0.3968 0.5000

Peak list (6 most intense, 2θ = 10–90°, low angle first)
- 2θ = 30.4°, d 2.939, intensity 30
- 2θ = 33.4°, d 2.680, intensity 100
- 2θ = 33.9°, d 2.641, intensity 71
- 2θ = 34.6°, d 2.592, intensity 34
- 2θ = 52.3°, d 1.749, intensity 29
- 2θ = 66.6°, d 1.404, intensity 20

---

[3]
Diffraction record for BaSbPt3. The PXRD pattern is calculated, not measured: it uses DFT lattice parameters and positions (GGA-PBE) and Cu Ka.

Crystal structure
a b c (Å): 6.7148 6.7148 6.7651
angles (deg): 90.00 90.00 120.00
Space group P3m1 (No. 156)
Inequivalent atoms, fractional coordinates:
Ba 0.0000 0.0000 0.0000
Ba 0.3333 0.6667 0.5687
Sb 0.3333 0.6667 0.0600
Sb 0.6667 0.3333 0.6619
Pt 0.2594 0.1297 0.4867
Pt 0.5336 0.0672 0.2203

Peak list (6 most intense, 2θ = 10–90°, low angle first)
- 2θ = 13.1°, d 6.765, intensity 100
- 2θ = 30.6°, d 2.924, intensity 79
- 2θ = 33.5°, d 2.671, intensity 97
- 2θ = 40.9°, d 2.205, intensity 66
- 2θ = 43.3°, d 2.090, intensity 55
- 2θ = 76.8°, d 1.241, intensity 31

---

[4]
Diffraction record for Tb4Ho3Tl. The PXRD pattern is calculated, not measured: it uses DFT lattice parameters and positions (GGA-PBE) and Cu Ka.

Crystal structure
a b c (Å): 11.1755 7.0358 6.1735
angles (deg): 90.00 90.00 90.00
Space group Pmn2_1 (No. 31)
Inequivalent atoms, fractional coordinates:
Tb 0.0000 0.1283 0.0000
Tb 0.0000 0.8689 0.4638
Tb 0.2362 0.8722 0.8233
Ho 0.0000 0.3690 0.4710
Ho 0.2434 0.3836 0.8036
Tl 0.0000 0.6177 0.9820

Peak list (6 most intense, 2θ = 10–90°, low angle first)
- 2θ = 29.2°, d 3.056, intensity 24
- 2θ = 32.0°, d 2.794, intensity 37
- 2θ = 33.2°, d 2.702, intensity 50
- 2θ = 33.4°, d 2.682, intensity 100
- 2θ = 58.0°, d 1.591, intensity 19
- 2θ = 61.9°, d 1.499, intensity 21

---

[5]
Diffraction record for Na4B5C3. The PXRD pattern is calculated, not measured: it uses DFT lattice parameters and positions (GGA-PBE) and Cu Ka.

Crystal structure
a b c (Å): 9.9312 2.8043 9.9448
angles (deg): 90.00 118.75 90.00
Space group P2_1/m (No. 11)
Inequivalent atoms, fractional coordinates:
Na 0.1226 0.2500 0.1238
Na 0.1229 0.7500 0.6244
Na 0.3707 0.2500 0.8742
Na 0.3728 0.7500 0.3760
B 0.0863 0.7500 0.3383
B 0.1536 0.7500 0.9033
B 0.3238 0.7500 0.0756
B 0.3259 0.2500 0.5763
B 0.4380 0.2500 0.1894
C 0.0737 0.2500 0.8221
C 0.1664 0.2500 0.4187
C 0.4085 0.7500 0.6576

Peak list (6 most intense, 2θ = 10–90°, low angle first)
- 2θ = 36.6°, d 2.453, intensity 16
- 2θ = 41.5°, d 2.178, intensity 49
- 2θ = 42.3°, d 2.138, intensity 39
- 2θ = 42.5°, d 2.128, intensity 100
- 2θ = 64.4°, d 1.446, intensity 17
- 2θ = 77.4°, d 1.232, intensity 13

---

[6]
Diffraction record for Nd2FeSi2Ru. The PXRD pattern is calculated, not measured: it uses DFT lattice parameters and positions (GGA-PBE) and Cu Ka.

Crystal structure
a b c (Å): 4.1431 4.1431 6.9721
angles (deg): 90.00 90.00 90.00
Space group P-4m2 (No. 115)
Inequivalent atoms, fractional coordinates:
Nd 0.0000 0.5000 0.1811
Fe 0.0000 0.0000 0.5000
Si 0.0000 0.5000 0.6706
Ru 0.5000 0.5000 0.5000

Peak list (6 most intense, 2θ = 10–90°, low angle first)
- 2θ = 25.0°, d 3.562, intensity 100
- 2θ = 33.2°, d 2.701, intensity 69
- 2θ = 33.6°, d 2.667, intensity 75
- 2θ = 40.2°, d 2.243, intensity 89
- 2θ = 43.7°, d 2.072, intensity 63
- 2θ = 56.2°, d 1.636, intensity 34